(1)
This entry pairs a crystal structure of Cu2P8Se3I2 with its simulated X-ray powder pattern. Radiation: Cu Kα (λ = 1.5418 Å). Structure: the GGA-PBE geometry in Alexandria.
Peak positions follow from Bragg's law for the DFT cell and can differ from measured ones.

The 10 most intense peaks (10° ≤ 2θ ≤ 80°), in order of rising 2θ:
2θ/deg	d (Å)	I (rel.)
18.59	4.772	50
22.38	3.972	41
25.79	3.455	43
27.33	3.263	44
27.66	3.225	29
28.18	3.167	35
29.50	3.028	100
30.10	2.969	30
31.84	2.810	34
44.82	2.022	30

Atomic structure:
Cell: 9.570 13.141 13.884 Å, 90.00 90.00 90.00°
Atoms (fractional coordinates):
1 Cu 0.002 0.131 0.250
2 Cu 0.002 0.369 0.750
3 Cu 0.191 0.585 0.750
4 Cu 0.191 0.915 0.250
5 Cu 0.809 0.085 0.750
6 Cu 0.809 0.415 0.250
7 Cu 0.998 0.631 0.250
8 Cu 0.998 0.869 0.750
9 P 0.073 0.698 0.109
10 P 0.073 0.698 0.391
11 P 0.073 0.802 0.609
12 P 0.073 0.802 0.891
13 P 0.177 0.580 0.020
14 P 0.177 0.580 0.480
15 P 0.177 0.920 0.520
16 P 0.177 0.920 0.980
17 P 0.227 0.671 0.613
18 P 0.227 0.671 0.887
19 P 0.227 0.829 0.113
20 P 0.227 0.829 0.387
21 P 0.434 0.746 0.579
22 P 0.434 0.746 0.921
23 P 0.434 0.754 0.079
24 P 0.434 0.754 0.421
25 P 0.566 0.246 0.579
26 P 0.566 0.246 0.921
27 P 0.566 0.254 0.079
28 P 0.566 0.254 0.421
29 P 0.773 0.171 0.613
30 P 0.773 0.171 0.887
31 P 0.773 0.329 0.113
32 P 0.773 0.329 0.387
33 P 0.823 0.080 0.020
34 P 0.823 0.080 0.480
35 P 0.823 0.420 0.520
36 P 0.823 0.420 0.980
37 P 0.927 0.198 0.109
38 P 0.927 0.198 0.391
39 P 0.927 0.302 0.609
40 P 0.927 0.302 0.891
41 Se 0.090 0.250 0.000
42 Se 0.090 0.250 0.500
43 Se 0.383 0.586 0.104
44 Se 0.383 0.586 0.396
45 Se 0.383 0.914 0.604
46 Se 0.383 0.914 0.896
47 Se 0.617 0.086 0.104
48 Se 0.617 0.086 0.396
49 Se 0.617 0.414 0.604
50 Se 0.617 0.414 0.896
51 Se 0.910 0.750 0.000
52 Se 0.910 0.750 0.500
53 I 0.089 0.063 0.750
54 I 0.089 0.437 0.250
55 I 0.277 0.105 0.250
56 I 0.277 0.395 0.750
57 I 0.723 0.605 0.250
58 I 0.723 0.895 0.750
59 I 0.911 0.563 0.750
60 I 0.911 0.937 0.250

=====

(2)
This entry pairs a crystal structure of RbCuPbI4 with its simulated X-ray powder pattern. Radiation: Cu Kα (λ = 1.5418 Å). Structure: the GGA-PBE geometry in Alexandria.
Peak positions follow from Bragg's law for the DFT cell and can differ from measured ones.

The 10 most intense peaks (10° ≤ 2θ ≤ 80°), in order of rising 2θ:
2θ/deg	d (Å)	I (rel.)
21.50	4.133	34
25.13	3.544	60
26.22	3.399	38
26.35	3.382	41
28.40	3.143	69
28.52	3.130	54
28.71	3.110	100
33.88	2.646	34
35.76	2.511	40
42.26	2.139	40

Atomic structure:
Cell: 7.321 8.266 10.050 Å, 90.00 109.79 90.00°
Atoms (fractional coordinates):
1 Rb 0.244 0.250 0.056
2 Rb 0.756 0.750 0.944
3 Cu 0.196 0.750 0.318
4 Cu 0.804 0.250 0.682
5 Pb 0.219 0.250 0.552
6 Pb 0.781 0.750 0.448
7 I 0.022 0.508 0.723
8 I 0.022 0.992 0.723
9 I 0.412 0.750 0.151
10 I 0.445 0.750 0.579
11 I 0.555 0.250 0.421
12 I 0.588 0.250 0.849
13 I 0.978 0.008 0.277
14 I 0.978 0.492 0.277

=====

(3)
This entry pairs a crystal structure of Cu3PdI8 with its simulated X-ray powder pattern. Radiation: Cu Kα (λ = 1.5418 Å). Structure: the GGA-PBE geometry in Alexandria.
Peak positions follow from Bragg's law for the DFT cell and can differ from measured ones.

The 10 most intense peaks (10° ≤ 2θ ≤ 80°), in order of rising 2θ:
2θ/deg	d (Å)	I (rel.)
13.58	6.520	21
26.71	3.338	13
27.36	3.260	39
31.51	2.840	100
44.74	2.026	36
45.57	1.991	36
53.61	1.710	11
56.45	1.630	18
74.14	1.279	15
75.37	1.261	15

Atomic structure:
Cell: 8.105 8.105 8.105 Å, 58.83 58.83 58.83°
Atoms (fractional coordinates):
1 Cu 0.000 0.500 0.500
2 Cu 0.500 0.000 0.500
3 Cu 0.500 0.500 0.000
4 Pd 0.500 0.500 0.500
5 I 0.255 0.255 0.745
6 I 0.255 0.745 0.255
7 I 0.255 0.745 0.745
8 I 0.260 0.260 0.260
9 I 0.740 0.740 0.740
10 I 0.745 0.255 0.255
11 I 0.745 0.255 0.745
12 I 0.745 0.745 0.255

=====

(4)
This entry pairs a crystal structure of Cu3PdI9 with its simulated X-ray powder pattern. Radiation: Cu Kα (λ = 1.5418 Å). Structure: the GGA-PBE geometry in Alexandria.
Peak positions follow from Bragg's law for the DFT cell and can differ from measured ones.

The 10 most intense peaks (10° ≤ 2θ ≤ 80°), in order of rising 2θ:
2θ/deg	d (Å)	I (rel.)
14.23	6.225	100
19.19	4.624	52
22.71	3.915	50
23.50	3.786	62
25.40	3.506	50
25.91	3.439	63
28.95	3.084	69
30.52	2.929	83
42.38	2.133	64
44.88	2.020	36

Atomic structure:
Cell: 9.248 9.248 12.450 Å, 90.00 90.00 90.39°
Atoms (fractional coordinates):
1 Cu 0.179 0.818 0.937
2 Cu 0.182 0.821 0.563
3 Cu 0.254 0.254 0.500
4 Cu 0.746 0.746 0.000
5 Cu 0.818 0.179 0.063
6 Cu 0.821 0.182 0.437
7 Pd 0.294 0.294 0.000
8 Pd 0.706 0.706 0.500
9 I 0.003 0.692 0.077
10 I 0.018 0.291 0.943
11 I 0.105 0.895 0.750
12 I 0.291 0.018 0.057
13 I 0.303 0.305 0.693
14 I 0.305 0.303 0.307
15 I 0.308 0.997 0.423
16 I 0.319 0.584 0.999
17 I 0.416 0.681 0.501
18 I 0.584 0.319 0.001
19 I 0.681 0.416 0.499
20 I 0.692 0.003 0.923
21 I 0.695 0.697 0.807
22 I 0.697 0.695 0.193
23 I 0.709 0.982 0.557
24 I 0.895 0.105 0.250
25 I 0.982 0.709 0.443
26 I 0.997 0.308 0.577

=====

(5)
This entry pairs a crystal structure of Cu3PdI4 with its simulated X-ray powder pattern. Radiation: Cu Kα (λ = 1.5418 Å). Structure: the GGA-PBE geometry in Alexandria.
Peak positions follow from Bragg's law for the DFT cell and can differ from measured ones.

The 10 most intense peaks (10° ≤ 2θ ≤ 80°), in order of rising 2θ:
2θ/deg	d (Å)	I (rel.)
25.28	3.522	100
41.82	2.160	49
41.99	2.151	24
49.35	1.847	16
49.65	1.836	30
60.90	1.521	8
66.76	1.401	12
67.01	1.397	6
76.25	1.249	8
76.61	1.244	15

Atomic structure:
Cell: 7.492 7.492 7.492 Å, 132.08 132.08 70.10°
Atoms (fractional coordinates):
1 Cu 0.000 0.000 0.000
2 Cu 0.250 0.750 0.500
3 Cu 0.750 0.250 0.500
4 Pd 0.500 0.500 0.000
5 I 0.115 0.115 0.486
6 I 0.371 0.885 0.000
7 I 0.629 0.629 0.514
8 I 0.885 0.371 0.000

=====

(6)
This entry pairs a crystal structure of Cu2PdI6 with its simulated X-ray powder pattern. Radiation: Cu Kα (λ = 1.5418 Å). Structure: the GGA-PBE geometry in Alexandria.
Peak positions follow from Bragg's law for the DFT cell and can differ from measured ones.

The 10 most intense peaks (10° ≤ 2θ ≤ 80°), in order of rising 2θ:
2θ/deg	d (Å)	I (rel.)
26.01	3.425	48
26.47	3.367	100
27.44	3.250	46
29.74	3.004	45
31.34	2.854	79
42.81	2.112	62
44.57	2.033	28
44.67	2.029	55
45.24	2.004	27
52.36	1.747	29

Atomic structure:
Cell: 8.970 8.970 7.421 Å, 96.42 96.42 85.67°
Atoms (fractional coordinates):
1 Cu 0.100 0.268 0.323
2 Cu 0.268 0.100 0.823
3 Cu 0.732 0.900 0.177
4 Cu 0.900 0.732 0.677
5 Pd 0.410 0.590 0.750
6 Pd 0.590 0.410 0.250
7 I 0.037 0.207 0.634
8 I 0.129 0.621 0.869
9 I 0.207 0.037 0.134
10 I 0.311 0.458 0.391
11 I 0.379 0.871 0.631
12 I 0.458 0.311 0.891
13 I 0.542 0.689 0.109
14 I 0.621 0.129 0.369
15 I 0.689 0.542 0.609
16 I 0.793 0.963 0.866
17 I 0.871 0.379 0.131
18 I 0.963 0.793 0.366

=====

(7)
This entry pairs a crystal structure of RbPmCuI6 with its simulated X-ray powder pattern. Radiation: Cu Kα (λ = 1.5418 Å). Structure: the GGA-PBE geometry in Alexandria.
Peak positions follow from Bragg's law for the DFT cell and can differ from measured ones.

The 10 most intense peaks (10° ≤ 2θ ≤ 80°), in order of rising 2θ:
2θ/deg	d (Å)	I (rel.)
11.04	8.014	67
18.35	4.835	53
21.40	4.153	100
23.65	3.762	48
25.50	3.493	60
25.88	3.443	57
27.65	3.226	60
27.76	3.214	62
31.87	2.808	65
38.60	2.333	71

Atomic structure:
Cell: 7.475 7.482 8.191 Å, 96.78 97.14 108.31°
Atoms (fractional coordinates):
1 Rb 0.000 0.000 0.000
2 Pm 0.369 0.631 0.500
3 Cu 0.728 0.271 0.500
4 I 0.059 0.576 0.208
5 I 0.077 0.316 0.652
6 I 0.426 0.939 0.793
7 I 0.482 0.327 0.270
8 I 0.675 0.517 0.730
9 I 0.681 0.923 0.347

=====

(8)
This entry pairs a crystal structure of Pr4CuI5 with its simulated X-ray powder pattern. Radiation: Cu Kα (λ = 1.5418 Å). Structure: the GGA-PBE geometry in Alexandria.
Peak positions follow from Bragg's law for the DFT cell and can differ from measured ones.

The 10 most intense peaks (10° ≤ 2θ ≤ 80°), in order of rising 2θ:
2θ/deg	d (Å)	I (rel.)
26.00	3.427	13
27.97	3.190	52
28.60	3.122	100
31.54	2.837	19
39.02	2.308	18
40.10	2.249	37
40.76	2.214	34
42.68	2.119	18
51.80	1.765	20
66.23	1.411	13

Atomic structure:
Cell: 10.022 10.022 9.235 Å, 102.02 102.02 24.41°
Atoms (fractional coordinates):
1 Pr 0.000 0.000 0.213
2 Pr 0.000 0.000 0.787
3 Pr 0.349 0.349 0.926
4 Pr 0.651 0.651 0.074
5 Cu 0.500 0.500 0.000
6 I 0.168 0.168 0.343
7 I 0.173 0.173 0.817
8 I 0.500 0.500 0.500
9 I 0.827 0.827 0.183
10 I 0.832 0.832 0.657

=====

(9)
This entry pairs a crystal structure of Cu2PtI8 with its simulated X-ray powder pattern. Radiation: Cu Kα (λ = 1.5418 Å). Structure: the GGA-PBE geometry in Alexandria.
Peak positions follow from Bragg's law for the DFT cell and can differ from measured ones.

The 10 most intense peaks (10° ≤ 2θ ≤ 80°), in order of rising 2θ:
2θ/deg	d (Å)	I (rel.)
11.90	7.438	94
17.47	5.078	30
17.68	5.016	68
27.42	3.253	100
27.81	3.208	60
33.24	2.695	34
35.21	2.549	25
35.81	2.507	22
41.49	2.176	29
43.22	2.093	53

Atomic structure:
Cell: 8.383 8.383 6.867 Å, 91.22 91.22 62.54°
Atoms (fractional coordinates):
1 Cu 0.167 0.167 0.432
2 Cu 0.833 0.833 0.568
3 Pt 0.000 0.000 0.000
4 I 0.138 0.706 0.759
5 I 0.164 0.164 0.808
6 I 0.294 0.862 0.241
7 I 0.344 0.344 0.424
8 I 0.656 0.656 0.576
9 I 0.706 0.138 0.759
10 I 0.836 0.836 0.192
11 I 0.862 0.294 0.241

=====

(10)
This entry pairs a crystal structure of RbPuCuI6 with its simulated X-ray powder pattern. Radiation: Cu Kα (λ = 1.5418 Å). Structure: the GGA-PBE geometry in Alexandria.
Peak positions follow from Bragg's law for the DFT cell and can differ from measured ones.

The 10 most intense peaks (10° ≤ 2θ ≤ 80°), in order of rising 2θ:
2θ/deg	d (Å)	I (rel.)
10.70	8.271	63
17.12	5.178	49
25.61	3.479	100
31.83	2.812	93
37.44	2.402	19
40.29	2.238	33
40.76	2.214	42
50.12	1.820	17
52.62	1.739	18
68.62	1.368	14

Atomic structure:
Cell: 7.669 7.669 16.542 Å, 90.00 90.00 120.00°
Atoms (fractional coordinates):
1 Rb 0.000 0.000 0.000
2 Rb 0.000 0.000 0.500
3 Pu 0.333 0.667 0.250
4 Pu 0.667 0.333 0.750
5 Cu 0.333 0.667 0.750
6 Cu 0.667 0.333 0.250
7 I 0.017 0.375 0.649
8 I 0.017 0.642 0.851
9 I 0.358 0.375 0.851
10 I 0.358 0.983 0.649
11 I 0.375 0.017 0.149
12 I 0.375 0.358 0.351
13 I 0.625 0.642 0.649
14 I 0.625 0.983 0.851
15 I 0.642 0.017 0.351
16 I 0.642 0.625 0.149
17 I 0.983 0.358 0.149
18 I 0.983 0.625 0.351

=====

(11)
This entry pairs a crystal structure of Rb3CuI4 with its simulated X-ray powder pattern. Radiation: Cu Kα (λ = 1.5418 Å). Structure: the GGA-PBE geometry in Alexandria.
Peak positions follow from Bragg's law for the DFT cell and can differ from measured ones.

The 10 most intense peaks (10° ≤ 2θ ≤ 80°), in order of rising 2θ:
2θ/deg	d (Å)	I (rel.)
18.67	4.753	100
20.38	4.358	64
21.30	4.172	58
27.78	3.211	36
32.27	2.774	21
32.58	2.748	56
32.71	2.738	26
36.24	2.478	53
38.74	2.324	24
49.63	1.837	23

Atomic structure:
Cell: 10.952 9.528 8.714 Å, 90.00 90.00 90.00°
Atoms (fractional coordinates):
1 Rb 0.000 0.132 0.000
2 Rb 0.240 0.328 0.493
3 Rb 0.260 0.672 0.993
4 Rb 0.500 0.868 0.500
5 Rb 0.740 0.672 0.993
6 Rb 0.760 0.328 0.493
7 Cu 0.000 0.818 0.491
8 Cu 0.500 0.182 0.991
9 I 0.000 0.085 0.585
10 I 0.000 0.800 0.188
11 I 0.207 0.695 0.585
12 I 0.293 0.305 0.085
13 I 0.500 0.200 0.688
14 I 0.500 0.915 0.085
15 I 0.707 0.305 0.085
16 I 0.793 0.695 0.585